Record 1
Computed PXRD pattern
Compound: AgRh2Se
Radiation: Cu Ka
Structure: a crystal structure in Alexandria, relaxed with PBE
Kinematic intensities with the Lorentz-polarization factor, no thermal factor.

Main lines, in order of rising 2θ (2θ = 10–90°):
2θ/deg	I/Imax
31.08	8
38.16	22
38.66	65
39.04	39
40.56	100
43.98	35
46.34	8
54.22	9
60.24	21
73.04	13
78.53	12
87.81	10

Crystal structure
Lattice parameters (Å, degrees): 2.9623 4.1179 5.4396 90.00 103.75 90.00
Atoms (fractional coordinates):
Ag1 0.0000 0.0000 0.0000
Rh1 0.3776 0.5000 0.7319
Rh2 0.6224 0.5000 0.2681
Se1 0.5000 0.0000 0.5000


Record 2
Computed PXRD pattern
Compound: AgRh2Se4
Radiation: Cu Ka
Structure: a crystal structure in Alexandria, relaxed with PBE
Kinematic intensities with the Lorentz-polarization factor, no thermal factor.

Main lines, in order of rising 2θ (2θ = 10–90°):
2θ/deg	I/Imax
14.37	24
23.58	31
27.72	76
33.59	62
44.09	63
48.24	100
56.55	12
60.06	12
67.39	14
70.60	13
80.48	10
87.10	13

Crystal structure
Lattice parameters (Å, degrees): 7.5464 7.5464 7.5464 120.05 119.94 90.01
Atoms (fractional coordinates):
Ag1 0.3752 0.1252 0.2500
Ag2 0.6248 0.8748 0.7500
Rh1 0.0000 0.0000 0.5000
Rh2 0.0000 0.5000 0.0000
Rh3 0.0000 0.5000 0.5000
Rh4 0.5000 0.5000 0.0000
Se1 0.2023 0.7341 0.4682
Se2 0.2341 0.2660 0.5319
Se3 0.2340 0.2659 0.9682
Se4 0.2341 0.7022 0.9681
Se5 0.7659 0.2978 0.0319
Se6 0.7660 0.7341 0.0318
Se7 0.7659 0.7340 0.4681
Se8 0.7977 0.2659 0.5318


Record 3
Computed PXRD pattern
Compound: SiAg4Rh
Radiation: Cu Ka
Structure: a crystal structure in Alexandria, relaxed with PBE
Kinematic intensities with the Lorentz-polarization factor, no thermal factor.

Main lines, in order of rising 2θ (2θ = 10–90°):
2θ/deg	I/Imax
20.31	34
23.50	5
33.47	14
39.47	100
41.31	58
48.07	13
52.69	8
63.88	30
70.33	27
74.08	5
83.77	11
84.97	20

Crystal structure
Lattice parameters (Å, degrees): 5.3540 5.3540 5.3540 60.00 60.00 60.00
Atoms (fractional coordinates):
Si1 0.0000 0.0000 0.0000
Ag1 0.1254 0.6249 0.6249
Ag2 0.6249 0.1254 0.6249
Ag3 0.6249 0.6249 0.1254
Ag4 0.6249 0.6249 0.6249
Rh1 0.2500 0.2500 0.2500


Record 4
Computed PXRD pattern
Compound: Sm3AgRh2
Radiation: Cu Ka
Structure: a crystal structure in Alexandria, relaxed with PBE
Kinematic intensities with the Lorentz-polarization factor, no thermal factor.

Main lines, in order of rising 2θ (2θ = 10–90°):
2θ/deg	I/Imax
35.23	100
36.04	50
41.51	3
49.45	8
51.89	18
62.69	15
64.28	34
74.49	9
76.44	6
83.28	5
87.06	8
87.54	8

Crystal structure
Lattice parameters (Å, degrees): 3.5243 3.5243 11.0591 90.00 90.00 90.00
Atoms (fractional coordinates):
Sm1 0.0000 0.0000 0.0000
Sm2 0.0000 0.0000 0.3111
Sm3 0.0000 0.0000 0.6889
Ag1 0.5000 0.5000 0.5000
Rh1 0.5000 0.5000 0.1619
Rh2 0.5000 0.5000 0.8381


Record 5
Computed PXRD pattern
Compound: Sm3AgRh8
Radiation: Cu Ka
Structure: a crystal structure in Alexandria, relaxed with PBE
Kinematic intensities with the Lorentz-polarization factor, no thermal factor.

Main lines, in order of rising 2θ (2θ = 10–90°):
2θ/deg	I/Imax
33.49	24
33.60	25
39.47	32
39.58	100
41.25	11
41.44	31
60.04	13
64.07	31
70.36	16
70.63	17
84.09	11
85.21	8

Crystal structure
Lattice parameters (Å, degrees): 9.2806 9.2806 9.2806 33.40 33.40 33.40
Atoms (fractional coordinates):
Sm1 0.0000 0.0000 0.0000
Sm2 0.1296 0.1296 0.1296
Sm3 0.6168 0.6168 0.6168
Ag1 0.4954 0.4954 0.4954
Rh1 0.0608 0.0608 0.5629
Rh2 0.0608 0.5629 0.0608
Rh3 0.0618 0.5620 0.5620
Rh4 0.3117 0.3117 0.3117
Rh5 0.5620 0.0618 0.5620
Rh6 0.5620 0.5620 0.0618
Rh7 0.5629 0.0608 0.0608
Rh8 0.8118 0.8118 0.8118


Record 6
Computed PXRD pattern
Compound: Sm3Ag2Rh3
Radiation: Cu Ka
Structure: a crystal structure in Alexandria, relaxed with PBE
Kinematic intensities with the Lorentz-polarization factor, no thermal factor.

Main lines, in order of rising 2θ (2θ = 10–90°):
2θ/deg	I/Imax
12.14	15
31.70	22
36.29	57
37.01	100
38.40	90
47.80	18
49.50	18
54.39	24
67.62	17
70.36	17
74.40	15
78.35	22

Crystal structure
Lattice parameters (Å, degrees): 8.4149 8.4149 5.6455 90.00 90.00 120.00
Atoms (fractional coordinates):
Sm1 0.0000 0.2885 0.2500
Sm2 0.0000 0.7115 0.7500
Sm3 0.2885 0.0000 0.2500
Sm4 0.2885 0.2885 0.7500
Sm5 0.7115 0.0000 0.7500
Sm6 0.7115 0.7115 0.2500
Ag1 0.3333 0.6667 0.0000
Ag2 0.3333 0.6667 0.5000
Ag3 0.6667 0.3333 0.0000
Ag4 0.6667 0.3333 0.5000
Rh1 0.0000 0.3790 0.7500
Rh2 0.0000 0.6210 0.2500
Rh3 0.3790 0.0000 0.7500
Rh4 0.3790 0.3790 0.2500
Rh5 0.6210 0.0000 0.2500
Rh6 0.6210 0.6210 0.7500


Record 7
Computed PXRD pattern
Compound: Sr2AgRh
Radiation: Cu Ka
Structure: a crystal structure in Alexandria, relaxed with PBE
Kinematic intensities with the Lorentz-polarization factor, no thermal factor.

Main lines, in order of rising 2θ (2θ = 10–90°):
2θ/deg	I/Imax
33.41	52
33.84	100
47.97	18
49.25	8
59.99	37
60.82	18
70.18	6
71.23	8
79.99	8
80.19	4
80.28	4
82.18	7

Crystal structure
Lattice parameters (Å, degrees): 5.3641 5.3641 3.7002 90.06 90.06 89.94
Atoms (fractional coordinates):
Sr1 0.0000 0.5000 0.0000
Sr2 0.5000 0.0000 0.0000
Ag1 0.0000 0.0000 0.5000
Rh1 0.5000 0.5000 0.5000


Record 8
Computed PXRD pattern
Compound: Sr5Ag2Rh
Radiation: Cu Ka
Structure: a crystal structure in Alexandria, relaxed with PBE
Kinematic intensities with the Lorentz-polarization factor, no thermal factor.

Main lines, in order of rising 2θ (2θ = 10–90°):
2θ/deg	I/Imax
20.73	65
26.06	48
27.03	54
27.37	95
28.36	68
29.57	52
30.48	79
31.99	93
33.89	100
34.32	83
40.06	45
41.08	39

Crystal structure
Lattice parameters (Å, degrees): 9.8691 9.8691 8.4876 96.62 96.62 44.55
Atoms (fractional coordinates):
Sr1 0.0829 0.9171 0.7500
Sr2 0.1396 0.2989 0.3074
Sr3 0.2879 0.5183 0.0753
Sr4 0.2989 0.1396 0.8074
Sr5 0.4817 0.7121 0.4247
Sr6 0.5183 0.2879 0.5753
Sr7 0.7011 0.8604 0.1926
Sr8 0.7121 0.4817 0.9247
Sr9 0.8604 0.7011 0.6926
Sr10 0.9171 0.0829 0.2500
Ag1 0.1008 0.6943 0.4258
Ag2 0.3057 0.8992 0.0742
Ag3 0.6943 0.1008 0.9258
Ag4 0.8992 0.3057 0.5742
Rh1 0.0000 0.5000 0.0000
Rh2 0.5000 0.0000 0.5000


Record 9
Computed PXRD pattern
Compound: Sr2TlAgRh
Radiation: Cu Ka
Structure: a crystal structure in Alexandria, relaxed with PBE
Kinematic intensities with the Lorentz-polarization factor, no thermal factor.

Main lines, in order of rising 2θ (2θ = 10–90°):
2θ/deg	I/Imax
15.51	50
22.00	36
27.92	100
31.31	90
34.35	35
44.86	33
47.15	57
53.67	32
57.68	44
75.91	26
84.39	21
89.38	18

Crystal structure
Lattice parameters (Å, degrees): 5.7146 5.7146 5.2220 90.00 90.00 90.00
Atoms (fractional coordinates):
Sr1 0.0000 0.5000 0.0000
Sr2 0.5000 0.0000 0.0000
Tl1 0.0000 0.0000 0.5000
Ag1 0.5000 0.5000 0.5000
Rh1 0.0000 0.0000 0.0000


Record 10
Computed PXRD pattern
Compound: Tb5Tl2AgRh2
Radiation: Cu Ka
Structure: a crystal structure in Alexandria, relaxed with PBE
Kinematic intensities with the Lorentz-polarization factor, no thermal factor.

Main lines, in order of rising 2θ (2θ = 10–90°):
2θ/deg	I/Imax
29.67	22
31.29	53
32.22	19
32.52	13
34.01	24
34.30	100
36.83	34
49.72	16
52.87	10
55.09	13
55.29	14
59.93	17

Crystal structure
Lattice parameters (Å, degrees): 11.7871 11.7871 3.6676 90.00 90.00 90.00
Atoms (fractional coordinates):
Tb1 0.0000 0.5000 0.0000
Tb2 0.0777 0.2021 0.0000
Tb3 0.2021 0.9223 0.0000
Tb4 0.2979 0.4223 0.0000
Tb5 0.4223 0.7021 0.0000
Tb6 0.5000 0.0000 0.0000
Tb7 0.5777 0.2979 0.0000
Tb8 0.7021 0.5777 0.0000
Tb9 0.7979 0.0777 0.0000
Tb10 0.9223 0.7979 0.0000
Tl1 0.1723 0.6723 0.5000
Tl2 0.3277 0.1723 0.5000
Tl3 0.6723 0.8277 0.5000
Tl4 0.8277 0.3277 0.5000
Ag1 0.0000 0.0000 0.5000
Ag2 0.5000 0.5000 0.5000
Rh1 0.1332 0.3668 0.5000
Rh2 0.3668 0.8668 0.5000
Rh3 0.6332 0.1332 0.5000
Rh4 0.8668 0.6332 0.5000


Record 11
Computed PXRD pattern
Compound: AgTeRh2
Radiation: Cu Ka
Structure: a crystal structure in Alexandria, relaxed with PBE
Kinematic intensities with the Lorentz-polarization factor, no thermal factor.

Main lines, in order of rising 2θ (2θ = 10–90°):
2θ/deg	I/Imax
31.75	5
34.88	100
36.32	94
47.88	5
50.16	33
51.24	65
63.49	16
71.77	26
73.66	10
74.53	19
84.16	14
85.01	13

Crystal structure
Lattice parameters (Å, degrees): 5.8668 5.8668 5.8668 103.37 103.37 122.51
Atoms (fractional coordinates):
Ag1 0.0000 0.0000 0.0000
Ag2 0.7500 0.2500 0.5000
Te1 0.2500 0.7500 0.5000
Te2 0.5000 0.5000 0.0000
Rh1 0.1548 0.6250 0.0298
Rh2 0.3750 0.4048 0.5298
Rh3 0.5952 0.1250 0.9702
Rh4 0.8750 0.8452 0.4702


Record 12
Computed PXRD pattern
Compound: TlAgRh2
Radiation: Cu Ka
Structure: a crystal structure in Alexandria, relaxed with PBE
Kinematic intensities with the Lorentz-polarization factor, no thermal factor.

Main lines, in order of rising 2θ (2θ = 10–90°):
2θ/deg	I/Imax
22.35	3
24.25	10
38.20	100
40.40	3
43.78	34
45.61	15
50.67	3
63.64	11
65.06	21
76.71	25
79.34	12
81.74	11

Crystal structure
Lattice parameters (Å, degrees): 4.9374 4.9374 4.9374 130.48 130.48 72.64
Atoms (fractional coordinates):
Tl1 0.0000 0.0000 0.0000
Ag1 0.2500 0.7500 0.5000
Rh1 0.5000 0.5000 0.0000
Rh2 0.7500 0.2500 0.5000


Record 13
Computed PXRD pattern
Compound: Y3Ag2Rh
Radiation: Cu Ka
Structure: a crystal structure in Alexandria, relaxed with PBE
Kinematic intensities with the Lorentz-polarization factor, no thermal factor.

Main lines, in order of rising 2θ (2θ = 10–90°):
2θ/deg	I/Imax
24.93	2
35.45	100
35.66	99
46.40	1
51.16	34
63.51	17
63.92	34
64.05	17
75.01	10
75.52	10
85.92	14
86.29	15

Crystal structure
Lattice parameters (Å, degrees): 5.0359 5.0359 6.2209 90.00 90.00 120.00
Atoms (fractional coordinates):
Y1 0.0000 0.0000 0.0000
Y2 0.3333 0.6667 0.6499
Y3 0.6667 0.3333 0.3501
Ag1 0.3333 0.6667 0.1540
Ag2 0.6667 0.3333 0.8460
Rh1 0.0000 0.0000 0.5000


Record 14
Computed PXRD pattern
Compound: Zn10Ag6Rh
Radiation: Cu Ka
Structure: a crystal structure in Alexandria, relaxed with PBE
Kinematic intensities with the Lorentz-polarization factor, no thermal factor.

Main lines, in order of rising 2θ (2θ = 10–90°):
2θ/deg	I/Imax
28.51	21
31.53	11
33.86	11
39.33	75
40.24	79
41.28	100
52.00	18
59.02	21
62.75	12
73.90	21
75.96	10
77.22	10

Crystal structure
Lattice parameters (Å, degrees): 7.7628 7.7628 5.2941 90.00 90.00 120.00
Atoms (fractional coordinates):
Zn1 0.0000 0.2598 0.1971
Zn2 0.0000 0.7402 0.8029
Zn3 0.2598 0.0000 0.1971
Zn4 0.2598 0.2598 0.8029
Zn5 0.3333 0.6667 0.0000
Zn6 0.3333 0.6667 0.5000
Zn7 0.6667 0.3333 0.0000
Zn8 0.6667 0.3333 0.5000
Zn9 0.7402 0.0000 0.8029
Zn10 0.7402 0.7402 0.1971
Ag1 0.0000 0.3811 0.7155
Ag2 0.0000 0.6189 0.2845
Ag3 0.3811 0.0000 0.7155
Ag4 0.3811 0.3811 0.2845
Ag5 0.6189 0.0000 0.2845
Ag6 0.6189 0.6189 0.7155
Rh1 0.0000 0.0000 0.5000